[1]
The following is a computed X-ray diffraction stick pattern of K3TaIF6. It was derived from a cell relaxed with PBE, using copper Kα.

The 10 most intense peaks (10 to 80 degrees two-theta), by angle:
| 2theta | I_rel |
| --- | --- |
| 21.1 | 100.0 |
| 21.9 | 69.5 |
| 28.9 | 29.0 |
| 31.2 | 43.1 |
| 36.6 | 32.8 |
| 38.0 | 61.5 |
| 43.1 | 34.6 |
| 50.4 | 21.6 |
| 57.4 | 19.1 |
| 59.1 | 28.9 |

Crystal structure
```
K3TaIF6
1.0
8.1016 0.0000 0.0000
0.0000 8.1016 0.0000
0.0000 0.0000 6.1810
K Ta I F
6 2 2 12
Direct
0.0000 0.0000 0.0000 K
0.1561 0.3439 0.5000 K
0.3439 0.8439 0.5000 K
0.5000 0.5000 0.0000 K
0.6561 0.1561 0.5000 K
0.8439 0.6561 0.5000 K
0.0000 0.5000 0.0000 Ta
0.5000 0.0000 0.0000 Ta
0.0000 0.0000 0.5000 I
0.5000 0.5000 0.5000 I
0.1150 0.6150 0.2483 F
0.1150 0.6150 0.7517 F
0.1701 0.3299 0.0000 F
0.3299 0.8299 0.0000 F
0.3850 0.1150 0.2483 F
0.3850 0.1150 0.7517 F
0.6150 0.8850 0.2483 F
0.6150 0.8850 0.7517 F
0.6701 0.1701 0.0000 F
0.8299 0.6701 0.0000 F
0.8850 0.3850 0.2483 F
0.8850 0.3850 0.7517 F
```

---

[2]
The following is a computed X-ray diffraction stick pattern of Ga2Co7. It was derived from a cell relaxed with PBE, using copper Kα.

The 10 most intense peaks (10 to 80 degrees two-theta), by angle:
| 2theta | I_rel |
| --- | --- |
| 16.7 | 8.3 |
| 41.4 | 8.2 |
| 43.2 | 98.1 |
| 44.4 | 100.0 |
| 47.7 | 6.1 |
| 48.0 | 9.2 |
| 49.6 | 26.4 |
| 51.7 | 66.1 |
| 74.4 | 34.6 |
| 78.0 | 14.8 |

Crystal structure
```
Ga2Co7
1.0
2.5506 0.0000 0.0000
-1.2753 2.2089 0.0000
0.0000 0.0000 26.5116
Ga Co
2 7
Direct
0.3333 0.6667 0.1938 Ga
0.6667 0.3333 0.8062 Ga
0.0000 0.0000 0.2757 Co
0.0000 0.0000 0.5000 Co
0.0000 0.0000 0.7243 Co
0.3333 0.6667 0.4251 Co
0.3333 0.6667 0.6504 Co
0.6667 0.3333 0.3496 Co
0.6667 0.3333 0.5749 Co
```

---

[3]
The following is a computed X-ray diffraction stick pattern of CsNbHgTe3. It was derived from a cell relaxed with PBE, using copper Kα.

The 10 most intense peaks (10 to 80 degrees two-theta), by angle:
| 2theta | I_rel |
| --- | --- |
| 10.3 | 76.3 |
| 26.0 | 30.2 |
| 26.9 | 100.0 |
| 30.2 | 39.5 |
| 31.4 | 49.1 |
| 35.0 | 31.9 |
| 36.9 | 26.5 |
| 41.4 | 26.3 |
| 47.7 | 34.0 |
| 52.9 | 25.9 |

Crystal structure
```
CsNbHgTe3
1.0
2.1795 -8.5878 0.0000
2.1795 8.5878 0.0000
0.0000 0.0000 11.3982
Cs Nb Hg Te
2 2 2 6
Direct
0.2417 0.7583 0.7500 Cs
0.7583 0.2417 0.2500 Cs
0.0000 0.0000 0.0000 Nb
0.0000 0.0000 0.5000 Nb
0.4521 0.5479 0.2500 Hg
0.5479 0.4521 0.7500 Hg
0.0630 0.9370 0.2500 Te
0.3873 0.6127 0.0265 Te
0.3873 0.6127 0.4735 Te
0.6127 0.3873 0.5265 Te
0.6127 0.3873 0.9735 Te
0.9370 0.0630 0.7500 Te
```

---

[4]
The following is a computed X-ray diffraction stick pattern of Cs2CdBi2S5. It was derived from a cell relaxed with PBE, using copper Kα.

The 10 most intense peaks (10 to 80 degrees two-theta), by angle:
| 2theta | I_rel |
| --- | --- |
| 11.1 | 74.2 |
| 22.1 | 39.8 |
| 22.2 | 43.1 |
| 26.1 | 72.2 |
| 28.6 | 100.0 |
| 29.2 | 30.4 |
| 30.6 | 37.2 |
| 30.8 | 27.0 |
| 38.2 | 29.7 |
| 42.9 | 37.6 |

Crystal structure
```
Cs2CdBi2S5
1.0
15.9948 0.0000 0.0000
0.0000 4.2162 0.0000
0.0000 0.0000 18.6637
Cs Cd Bi S
8 4 8 20
Direct
0.0066 0.2500 0.1270 Cs
0.0347 0.7500 0.3877 Cs
0.4653 0.2500 0.8877 Cs
0.4934 0.7500 0.6270 Cs
0.5066 0.2500 0.3730 Cs
0.5347 0.7500 0.1123 Cs
0.9653 0.2500 0.6123 Cs
0.9934 0.7500 0.8730 Cs
0.2114 0.2500 0.8545 Cd
0.2886 0.7500 0.3545 Cd
0.7114 0.2500 0.6455 Cd
0.7886 0.7500 0.1455 Cd
0.2079 0.7500 0.6955 Bi
0.2450 0.7500 0.0178 Bi
0.2550 0.2500 0.5178 Bi
0.2921 0.2500 0.1955 Bi
0.7079 0.7500 0.8045 Bi
0.7450 0.7500 0.4822 Bi
0.7550 0.2500 0.9822 Bi
0.7921 0.2500 0.3045 Bi
0.1054 0.2500 0.7490 S
0.1369 0.2500 0.9760 S
0.1385 0.7500 0.5614 S
0.1823 0.7500 0.1472 S
0.1997 0.2500 0.3384 S
0.3003 0.7500 0.8384 S
0.3177 0.2500 0.6472 S
0.3615 0.2500 0.0614 S
0.3631 0.7500 0.4760 S
0.3946 0.7500 0.2490 S
0.6054 0.2500 0.7510 S
0.6369 0.2500 0.5240 S
0.6385 0.7500 0.9386 S
0.6823 0.7500 0.3528 S
0.6997 0.2500 0.1616 S
0.8003 0.7500 0.6616 S
0.8177 0.2500 0.8528 S
0.8615 0.2500 0.4386 S
0.8631 0.7500 0.0240 S
0.8946 0.7500 0.2510 S
```

---

[5]
The following is a computed X-ray diffraction stick pattern of Y5Ho2Tm. It was derived from a cell relaxed with PBE, using copper Kα.

The 10 most intense peaks (10 to 80 degrees two-theta), by angle:
| 2theta | I_rel |
| --- | --- |
| 21.2 | 6.3 |
| 28.4 | 24.5 |
| 31.8 | 23.8 |
| 32.7 | 100.0 |
| 43.2 | 16.3 |
| 50.4 | 20.2 |
| 57.3 | 19.8 |
| 60.8 | 21.9 |
| 61.4 | 16.0 |
| 79.7 | 7.5 |

Crystal structure
```
Y5Ho2Tm
1.0
5.6205 0.0000 0.0000
0.0000 3.6232 6.2751
0.0000 -3.6232 6.2751
Y Ho Tm
5 2 1
Direct
0.0000 0.0000 0.0000 Y
0.0000 0.4983 0.9986 Y
0.0000 0.9986 0.4983 Y
0.5000 0.1673 0.6658 Y
0.5000 0.6658 0.1673 Y
0.0000 0.5001 0.5001 Ho
0.5000 0.1656 0.1656 Ho
0.5000 0.6655 0.6655 Tm
```

---

[6]
The following is a computed X-ray diffraction stick pattern of YZnGa2Ir4. It was derived from a cell relaxed with PBE, using copper Kα.

The 10 most intense peaks (10 to 80 degrees two-theta), by angle:
| 2theta | I_rel |
| --- | --- |
| 27.9 | 10.6 |
| 28.7 | 22.8 |
| 40.4 | 100.0 |
| 41.0 | 50.9 |
| 50.3 | 9.0 |
| 57.6 | 7.4 |
| 59.4 | 17.1 |
| 67.2 | 4.5 |
| 73.1 | 14.5 |
| 74.3 | 33.2 |

Crystal structure
```
YZnGa2Ir4
1.0
4.4033 0.0000 0.0000
0.0000 4.4033 0.0000
0.0000 0.0000 6.4017
Y Zn Ga Ir
1 1 2 4
Direct
0.0000 0.0000 0.0000 Y
0.5000 0.5000 0.5000 Zn
0.0000 0.0000 0.5000 Ga
0.5000 0.5000 0.0000 Ga
0.0000 0.5000 0.2725 Ir
0.0000 0.5000 0.7275 Ir
0.5000 0.0000 0.2725 Ir
0.5000 0.0000 0.7275 Ir
```

---

[7]
The following is a computed X-ray diffraction stick pattern of Rb2TbInO4. It was derived from a cell relaxed with PBE, using copper Kα.

The 10 most intense peaks (10 to 80 degrees two-theta), by angle:
| 2theta | I_rel |
| --- | --- |
| 13.8 | 19.9 |
| 27.9 | 35.9 |
| 31.0 | 16.0 |
| 33.3 | 100.0 |
| 36.9 | 27.4 |
| 41.5 | 19.9 |
| 52.9 | 33.2 |
| 53.5 | 26.9 |
| 61.4 | 23.8 |
| 64.5 | 14.7 |

Crystal structure
```
Rb2TbInO4
1.0
3.4240 0.0000 0.0000
-1.7120 2.9653 0.0000
0.0000 0.0000 12.7978
Rb Tb In O
2 1 1 4
Direct
0.3333 0.6667 0.2544 Rb
0.6667 0.3333 0.7456 Rb
0.0000 0.0000 0.0000 Tb
0.0000 0.0000 0.5000 In
0.3333 0.6667 0.5872 O
0.3333 0.6667 0.9079 O
0.6667 0.3333 0.0921 O
0.6667 0.3333 0.4128 O
```

---

[8]
The following is a computed X-ray diffraction stick pattern of KCu3OsSe4. It was derived from a cell relaxed with PBE, using copper Kα.

The 10 most intense peaks (10 to 80 degrees two-theta), by angle:
| 2theta | I_rel |
| --- | --- |
| 14.5 | 97.9 |
| 20.5 | 34.7 |
| 25.2 | 49.5 |
| 32.7 | 20.2 |
| 35.9 | 19.8 |
| 41.7 | 100.0 |
| 44.4 | 24.0 |
| 49.4 | 17.7 |
| 54.0 | 24.9 |
| 76.2 | 26.5 |

Crystal structure
```
KCu3OsSe4
1.0
6.1238 0.0000 0.0000
0.0000 6.1238 0.0000
0.0000 0.0000 6.1238
K Cu Os Se
1 3 1 4
Direct
0.0000 0.0000 0.0000 K
0.0000 0.5000 0.5000 Cu
0.5000 0.0000 0.5000 Cu
0.5000 0.5000 0.0000 Cu
0.5000 0.5000 0.5000 Os
0.2780 0.2780 0.2780 Se
0.2780 0.7220 0.7220 Se
0.7220 0.2780 0.7220 Se
0.7220 0.7220 0.2780 Se
```

---

[9]
The following is a computed X-ray diffraction stick pattern of La2Mg3GaNi2. It was derived from a cell relaxed with PBE, using copper Kα.

The 10 most intense peaks (10 to 80 degrees two-theta), by angle:
| 2theta | I_rel |
| --- | --- |
| 22.3 | 78.2 |
| 22.5 | 75.5 |
| 31.8 | 100.0 |
| 32.0 | 86.5 |
| 34.0 | 29.7 |
| 35.8 | 55.7 |
| 36.0 | 92.7 |
| 37.7 | 42.4 |
| 37.9 | 34.5 |
| 42.0 | 56.3 |

Crystal structure
```
La2Mg3GaNi2
1.0
4.9914 -2.1535 0.0000
4.9914 2.1535 0.0000
-0.0785 0.0000 7.9595
La Mg Ga Ni
2 3 1 2
Direct
0.0000 0.0000 0.0000 La
0.1127 0.1127 0.5187 La
0.4027 0.4027 0.3192 Mg
0.7140 0.7140 0.2089 Mg
0.7152 0.7152 0.8154 Mg
0.4017 0.4017 0.7059 Ga
0.2856 0.2856 0.9983 Ni
0.8447 0.8447 0.5270 Ni
```

---

[10]
The following is a computed X-ray diffraction stick pattern of Zr2InAu2. It was derived from a cell relaxed with PBE, using copper Kα.

The 10 most intense peaks (10 to 80 degrees two-theta), by angle:
| 2theta | I_rel |
| --- | --- |
| 16.5 | 16.3 |
| 25.0 | 16.3 |
| 26.2 | 22.3 |
| 34.5 | 16.6 |
| 36.6 | 100.0 |
| 37.4 | 57.1 |
| 39.8 | 16.3 |
| 45.5 | 18.4 |
| 51.4 | 16.5 |
| 75.6 | 15.4 |

Crystal structure
```
Zr2InAu2
1.0
7.6101 0.0000 0.0000
0.0000 7.6101 0.0000
0.0000 0.0000 7.1099
Zr In Au
8 4 8
Direct
0.1457 0.1457 0.0000 Zr
0.1972 0.1972 0.5000 Zr
0.3028 0.6972 0.0000 Zr
0.3543 0.6457 0.5000 Zr
0.6457 0.3543 0.5000 Zr
0.6972 0.3028 0.0000 Zr
0.8028 0.8028 0.5000 Zr
0.8543 0.8543 0.0000 Zr
0.0000 0.5000 0.2500 In
0.0000 0.5000 0.7500 In
0.5000 0.0000 0.2500 In
0.5000 0.0000 0.7500 In
0.1296 0.8704 0.2963 Au
0.1296 0.8704 0.7037 Au
0.3704 0.3704 0.2037 Au
0.3704 0.3704 0.7963 Au
0.6296 0.6296 0.2037 Au
0.6296 0.6296 0.7963 Au
0.8704 0.1296 0.2963 Au
0.8704 0.1296 0.7037 Au
```

---

[11]
The following is a computed X-ray diffraction stick pattern of La2Gd. It was derived from a cell relaxed with PBE, using copper Kα.

The 10 most intense peaks (10 to 80 degrees two-theta), by angle:
| 2theta | I_rel |
| --- | --- |
| 26.5 | 30.0 |
| 31.2 | 100.0 |
| 32.6 | 36.6 |
| 46.7 | 12.9 |
| 49.8 | 36.1 |
| 54.5 | 31.1 |
| 64.1 | 12.6 |
| 65.0 | 14.8 |
| 74.6 | 6.5 |
| 76.9 | 22.3 |

Crystal structure
```
La2Gd
1.0
0.0000 4.7609 4.7609
4.7609 0.0000 4.7609
4.7609 4.7609 0.0000
La Gd
4 2
Direct
0.0000 0.0000 0.0000 La
0.0000 0.0000 0.5000 La
0.0000 0.5000 0.0000 La
0.5000 0.0000 0.0000 La
0.3750 0.3750 0.3750 Gd
0.6250 0.6250 0.6250 Gd
```

---

[12]
The following is a computed X-ray diffraction stick pattern of HoEr2TmAl2. It was derived from a cell relaxed with PBE, using copper Kα.

The 10 most intense peaks (10 to 80 degrees two-theta), by angle:
| 2theta | I_rel |
| --- | --- |
| 19.8 | 13.0 |
| 24.0 | 49.3 |
| 33.8 | 100.0 |
| 34.6 | 87.8 |
| 42.5 | 11.2 |
| 49.1 | 35.1 |
| 55.9 | 17.5 |
| 61.5 | 35.9 |
| 62.0 | 16.3 |
| 67.4 | 25.4 |

Crystal structure
```
HoEr2TmAl2
1.0
5.1868 0.0000 0.0000
-2.5934 4.4919 0.0000
0.0000 0.0000 6.5779
Ho Er Tm Al
1 2 1 2
Direct
0.0000 0.0000 0.0000 Ho
0.6667 0.3333 0.2511 Er
0.6667 0.3333 0.7489 Er
0.3333 0.6667 0.5000 Tm
0.0000 0.0000 0.5000 Al
0.3333 0.6667 0.0000 Al
```

---

[13]
The following is a computed X-ray diffraction stick pattern of HoHf2Cu4Si4. It was derived from a cell relaxed with PBE, using copper Kα.

The 10 most intense peaks (10 to 80 degrees two-theta), by angle:
| 2theta | I_rel |
| --- | --- |
| 23.6 | 24.2 |
| 24.5 | 26.5 |
| 36.5 | 94.6 |
| 37.0 | 36.5 |
| 38.3 | 100.0 |
| 41.4 | 18.9 |
| 46.2 | 31.4 |
| 46.8 | 33.3 |
| 60.6 | 17.3 |
| 67.9 | 21.3 |

Crystal structure
```
HoHf2Cu4Si4
1.0
-1.9653 3.2497 6.5547
1.9653 -3.2497 6.5547
1.9653 3.2497 -6.5547
Ho Hf Cu Si
1 2 4 4
Direct
0.0000 0.0000 0.0000 Ho
0.3761 0.8761 0.5000 Hf
0.6239 0.1239 0.5000 Hf
0.0223 0.3289 0.6934 Cu
0.3645 0.6711 0.6934 Cu
0.6355 0.3289 0.3066 Cu
0.9777 0.6711 0.3066 Cu
0.2199 0.2199 0.0000 Si
0.3170 0.5000 0.8170 Si
0.6830 0.5000 0.1830 Si
0.7801 0.7801 0.0000 Si
```